(1)
Tb2Gd: calculated powder diffraction line list (Cu Ka), based on the PBE geometry in Alexandria.
Lines closer than 0.1° are merged.

Principal peaks in the range 10 to 90 degrees two-theta, low angle first:
d (Å), 2θ (°), Rel. int.
2.913, 30.7, 100
2.528, 35.5, 34
2.513, 35.7, 17
1.788, 51.1, 12
1.782, 51.3, 24
1.524, 60.8, 29
1.517, 61.1, 14
1.457, 63.9, 12
1.160, 83.3, 6
1.157, 83.6, 12

abc: 3.575 3.575 15.080
angles: 90.00 90.00 90.00
Element x y z (fractional)
Tb: 0.000 0.000 0.168
Tb: 0.000 0.000 0.832
Tb: 0.500 0.500 0.332
Tb: 0.500 0.500 0.668
Gd: 0.000 0.000 0.500
Gd: 0.500 0.500 0.000

(2)
ThRuO: calculated powder diffraction line list (Cu Ka), based on the PBE geometry in Alexandria.
Lines closer than 0.1° are merged.

Principal peaks in the range 10 to 90 degrees two-theta, low angle first:
d (Å), 2θ (°), Rel. int.
4.118, 21.6, 45
3.343, 26.7, 51
3.062, 29.2, 27
2.856, 31.3, 61
2.525, 35.6, 100
2.293, 39.3, 18
2.076, 43.6, 19
2.034, 44.5, 24
1.970, 46.1, 46
1.821, 50.1, 27

abc: 8.325 7.068 6.315
angles: 76.70 55.72 47.58
Element x y z (fractional)
Th: 0.047 0.703 0.047
Th: 0.297 0.953 0.297
Th: 0.703 0.047 0.703
Th: 0.953 0.297 0.953
Ru: 0.000 0.500 0.500
Ru: 0.500 0.000 0.500
Ru: 0.500 0.500 0.000
Ru: 0.500 0.500 0.500
O: 0.005 0.005 0.245
O: 0.245 0.245 0.005
O: 0.755 0.755 0.995
O: 0.995 0.995 0.755

(3)
Dy4Er5Tm3: calculated powder diffraction line list (Cu Ka), based on the PBE geometry in Alexandria.
Lines closer than 0.1° are merged.

Principal peaks in the range 10 to 90 degrees two-theta, low angle first:
d (Å), 2θ (°), Rel. int.
3.047, 29.3, 27
3.015, 29.6, 40
2.982, 30.0, 34
2.900, 30.8, 100
2.825, 31.7, 38
2.769, 32.3, 52
2.705, 33.1, 75
2.680, 33.4, 31
2.621, 34.2, 62
2.024, 44.8, 30

abc: 8.441 8.441 9.163
angles: 114.84 114.84 40.18
Element x y z (fractional)
Dy: 0.081 0.081 0.441
Dy: 0.214 0.214 0.879
Dy: 0.786 0.786 0.121
Dy: 0.919 0.919 0.559
Er: 0.000 0.000 0.000
Er: 0.328 0.328 0.615
Er: 0.427 0.427 0.298
Er: 0.573 0.573 0.702
Er: 0.672 0.672 0.385
Tm: 0.210 0.210 0.234
Tm: 0.500 0.500 0.000
Tm: 0.790 0.790 0.766

(4)
K2LaCd2Se4: calculated powder diffraction line list (Cu Ka), based on the PBE geometry in Alexandria.
Lines closer than 0.1° are merged.

Principal peaks in the range 10 to 90 degrees two-theta, low angle first:
d (Å), 2θ (°), Rel. int.
7.671, 11.5, 100
3.365, 26.5, 34
2.997, 29.8, 30
2.899, 30.8, 73
2.785, 32.1, 26
2.570, 34.9, 15
2.333, 38.6, 20
2.235, 40.4, 24
2.156, 41.9, 24
2.076, 43.6, 13

abc: 8.684 8.684 8.369
angles: 112.79 112.79 28.76
Element x y z (fractional)
K: 0.126 0.126 0.060
K: 0.874 0.874 0.940
La: 0.000 0.000 0.500
Cd: 0.311 0.311 0.484
Cd: 0.689 0.689 0.516
Se: 0.195 0.195 0.728
Se: 0.475 0.475 0.732
Se: 0.525 0.525 0.268
Se: 0.805 0.805 0.272

(5)
SmGe2Te3: calculated powder diffraction line list (Cu Ka), based on the PBE geometry in Alexandria.
Lines closer than 0.1° are merged.

Principal peaks in the range 10 to 90 degrees two-theta, low angle first:
d (Å), 2θ (°), Rel. int.
8.308, 10.6, 100
6.030, 14.7, 57
3.767, 23.6, 56
2.984, 29.9, 80
2.926, 30.6, 37
2.766, 32.4, 56
2.482, 36.2, 45
2.454, 36.6, 41
2.113, 42.8, 38
1.954, 46.5, 45

abc: 9.074 4.227 12.270
angles: 90.00 108.91 90.00
Element x y z (fractional)
Sm: 0.219 0.250 0.184
Sm: 0.781 0.750 0.816
Ge: 0.287 0.750 0.466
Ge: 0.475 0.750 0.051
Ge: 0.525 0.250 0.949
Ge: 0.713 0.250 0.534
Te: 0.077 0.250 0.376
Te: 0.162 0.750 0.983
Te: 0.464 0.750 0.317
Te: 0.536 0.250 0.683
Te: 0.838 0.250 0.017
Te: 0.923 0.750 0.624

(6)
HoSc3Zn8: calculated powder diffraction line list (Cu Ka), based on the PBE geometry in Alexandria.
Lines closer than 0.1° are merged.

Principal peaks in the range 10 to 90 degrees two-theta, low angle first:
d (Å), 2θ (°), Rel. int.
4.062, 21.9, 24
2.668, 33.6, 29
2.419, 37.2, 68
2.261, 39.9, 100
2.230, 40.4, 90
2.031, 44.6, 22
1.488, 62.4, 25
1.449, 64.3, 23
1.371, 68.4, 28
1.334, 70.6, 25

abc: 5.337 5.337 8.519
angles: 90.00 90.00 120.00
Element x y z (fractional)
Ho: 0.000 0.000 0.000
Sc: 0.000 0.000 0.380
Sc: 0.667 0.333 0.491
Sc: 0.667 0.333 0.864
Zn: 0.163 0.327 0.681
Zn: 0.163 0.837 0.681
Zn: 0.333 0.667 0.434
Zn: 0.333 0.667 0.934
Zn: 0.504 0.009 0.187
Zn: 0.504 0.496 0.187
Zn: 0.673 0.837 0.681
Zn: 0.991 0.496 0.187